(1)
Zr2Se: calculated powder XRD pattern (Cu Kα), based on a cell relaxed with GGA-PBE.

Main lines, in order of falling intensity (5 to 70 degrees two-theta):
d = 2.474 Å, I 100
d = 2.450 Å, I 95
d = 2.396 Å, I 45
d = 1.820 Å, I 44
d = 2.627 Å, I 44
d = 2.294 Å, I 38
d = 2.724 Å, I 33
d = 2.545 Å, I 30
d = 2.763 Å, I 26
d = 2.424 Å, I 26

Structural model:
Unit cell a=12.728 b=15.906 c=3.641 alpha=90.00 beta=90.00 gamma=90.00
Atoms (fractional coordinates):
Zr: 0.032 0.110 0.000
Zr: 0.077 0.747 0.500
Zr: 0.083 0.580 0.000
Zr: 0.123 0.424 0.500
Zr: 0.150 0.976 0.500
Zr: 0.199 0.203 0.500
Zr: 0.301 0.703 0.000
Zr: 0.350 0.476 0.000
Zr: 0.377 0.924 0.000
Zr: 0.417 0.080 0.500
Zr: 0.423 0.247 0.000
Zr: 0.468 0.610 0.500
Zr: 0.532 0.390 0.500
Zr: 0.577 0.753 0.000
Zr: 0.583 0.920 0.500
Zr: 0.623 0.076 0.000
Zr: 0.650 0.524 0.000
Zr: 0.699 0.297 0.000
Zr: 0.801 0.797 0.500
Zr: 0.850 0.024 0.500
Zr: 0.877 0.576 0.500
Zr: 0.917 0.420 0.000
Zr: 0.923 0.253 0.500
Zr: 0.968 0.890 0.000
Se: 0.079 0.293 0.000
Se: 0.183 0.848 0.000
Se: 0.245 0.580 0.500
Se: 0.255 0.080 0.000
Se: 0.317 0.348 0.500
Se: 0.421 0.793 0.500
Se: 0.579 0.207 0.500
Se: 0.683 0.652 0.500
Se: 0.745 0.920 0.000
Se: 0.755 0.420 0.500
Se: 0.817 0.152 0.000
Se: 0.921 0.707 0.000


(2)
Ta11Ni2Se8: calculated powder XRD pattern (Cu Kα), based on a cell relaxed with GGA-PBE.

Main lines, in order of falling intensity (5 to 70 degrees two-theta):
d = 10.305 Å, I 100
d = 2.532 Å, I 49
d = 2.213 Å, I 47
d = 7.629 Å, I 43
d = 2.745 Å, I 26
d = 2.431 Å, I 22
d = 2.618 Å, I 22
d = 2.381 Å, I 21
d = 1.721 Å, I 20
d = 2.176 Å, I 20

Structural model:
Unit cell a=12.102 b=19.655 c=3.441 alpha=90.00 beta=90.00 gamma=90.00
Atoms (fractional coordinates):
Ta: 0.000 0.000 0.000
Ta: 0.052 0.242 0.000
Ta: 0.062 0.115 0.500
Ta: 0.157 0.787 0.500
Ta: 0.174 0.354 0.500
Ta: 0.181 0.949 0.500
Ta: 0.319 0.449 0.000
Ta: 0.326 0.854 0.000
Ta: 0.343 0.287 0.000
Ta: 0.438 0.615 0.000
Ta: 0.448 0.742 0.500
Ta: 0.500 0.500 0.500
Ta: 0.552 0.258 0.500
Ta: 0.562 0.385 0.000
Ta: 0.657 0.713 0.000
Ta: 0.674 0.146 0.000
Ta: 0.681 0.551 0.000
Ta: 0.819 0.051 0.500
Ta: 0.826 0.646 0.500
Ta: 0.843 0.213 0.500
Ta: 0.938 0.885 0.500
Ta: 0.948 0.758 0.000
Ni: 0.093 0.871 0.000
Ni: 0.407 0.371 0.500
Ni: 0.593 0.629 0.500
Ni: 0.907 0.129 0.000
Se: 0.042 0.674 0.500
Se: 0.108 0.446 0.000
Se: 0.207 0.055 0.000
Se: 0.215 0.213 0.500
Se: 0.285 0.713 0.000
Se: 0.293 0.555 0.500
Se: 0.392 0.946 0.500
Se: 0.458 0.174 0.000
Se: 0.542 0.826 0.000
Se: 0.608 0.054 0.500
Se: 0.707 0.445 0.500
Se: 0.715 0.287 0.000
Se: 0.785 0.787 0.500
Se: 0.793 0.945 0.000
Se: 0.892 0.554 0.000
Se: 0.958 0.326 0.500


(3)
K2Ca5N4: calculated powder XRD pattern (Cu Kα), based on a cell relaxed with GGA-PBE.

Main lines, in order of falling intensity (5 to 70 degrees two-theta):
d = 2.997 Å, I 100
d = 2.506 Å, I 59
d = 8.415 Å, I 58
d = 2.805 Å, I 56
d = 1.869 Å, I 41
d = 2.479 Å, I 23
d = 3.267 Å, I 18
d = 5.604 Å, I 18
d = 1.990 Å, I 16
d = 5.770 Å, I 15

Structural model:
Unit cell a=7.926 b=7.926 c=16.829 alpha=90.00 beta=90.00 gamma=90.00
Atoms (fractional coordinates):
K: 0.081 0.581 0.250
K: 0.081 0.919 0.750
K: 0.419 0.581 0.750
K: 0.419 0.919 0.250
K: 0.581 0.081 0.750
K: 0.581 0.419 0.250
K: 0.919 0.081 0.250
K: 0.919 0.419 0.750
Ca: 0.078 0.634 0.566
Ca: 0.078 0.866 0.066
Ca: 0.134 0.578 0.934
Ca: 0.134 0.922 0.434
Ca: 0.250 0.250 0.090
Ca: 0.250 0.250 0.590
Ca: 0.366 0.578 0.434
Ca: 0.366 0.922 0.934
Ca: 0.422 0.634 0.066
Ca: 0.422 0.866 0.566
Ca: 0.578 0.134 0.434
Ca: 0.578 0.366 0.934
Ca: 0.634 0.078 0.066
Ca: 0.634 0.422 0.566
Ca: 0.750 0.750 0.410
Ca: 0.750 0.750 0.910
Ca: 0.866 0.078 0.566
Ca: 0.866 0.422 0.066
Ca: 0.922 0.134 0.934
Ca: 0.922 0.366 0.434
N: 0.053 0.634 0.418
N: 0.053 0.866 0.918
N: 0.134 0.553 0.082
N: 0.134 0.947 0.582
N: 0.366 0.553 0.582
N: 0.366 0.947 0.082
N: 0.447 0.634 0.918
N: 0.447 0.866 0.418
N: 0.553 0.134 0.582
N: 0.553 0.366 0.082
N: 0.634 0.053 0.918
N: 0.634 0.447 0.418
N: 0.866 0.053 0.418
N: 0.866 0.447 0.918
N: 0.947 0.134 0.082
N: 0.947 0.366 0.582


(4)
U8NiS17: calculated powder XRD pattern (Cu Kα), based on a cell relaxed with GGA-PBE.

Main lines, in order of falling intensity (5 to 70 degrees two-theta):
d = 3.472 Å, I 100
d = 3.183 Å, I 92
d = 3.399 Å, I 65
d = 2.201 Å, I 60
d = 3.614 Å, I 58
d = 2.507 Å, I 50
d = 2.312 Å, I 47
d = 3.802 Å, I 46
d = 6.015 Å, I 45
d = 4.422 Å, I 45

Structural model:
Unit cell a=7.768 b=7.768 c=10.247 alpha=100.02 beta=100.02 gamma=64.07
Atoms (fractional coordinates):
U: 0.182 0.700 0.796
U: 0.202 0.202 0.954
U: 0.300 0.818 0.204
U: 0.317 0.317 0.484
U: 0.683 0.683 0.516
U: 0.700 0.182 0.796
U: 0.798 0.798 0.046
U: 0.818 0.300 0.204
Ni: 0.000 0.000 0.500
S: 0.000 0.000 0.000
S: 0.055 0.675 0.529
S: 0.056 0.056 0.723
S: 0.180 0.567 0.034
S: 0.212 0.212 0.221
S: 0.301 0.301 0.744
S: 0.325 0.945 0.471
S: 0.433 0.820 0.966
S: 0.478 0.478 0.331
S: 0.522 0.522 0.669
S: 0.567 0.180 0.034
S: 0.675 0.055 0.529
S: 0.699 0.699 0.256
S: 0.788 0.788 0.779
S: 0.820 0.433 0.966
S: 0.944 0.944 0.277
S: 0.945 0.325 0.471


(5)
TbCu4Au: calculated powder XRD pattern (Cu Kα), based on a cell relaxed with GGA-PBE.

Main lines, in order of falling intensity (5 to 70 degrees two-theta):
d = 2.149 Å, I 100
d = 2.520 Å, I 66
d = 1.372 Å, I 31
d = 1.455 Å, I 24
d = 4.115 Å, I 16
d = 2.057 Å, I 15
d = 1.635 Å, I 4
d = 3.563 Å, I 1
d = 1.782 Å, I 1
d = 1.594 Å, I 1

Structural model:
Unit cell a=5.039 b=5.039 c=5.039 alpha=60.00 beta=60.00 gamma=60.00
Atoms (fractional coordinates):
Tb: 0.000 0.000 0.000
Cu: 0.376 0.376 0.376
Cu: 0.376 0.376 0.872
Cu: 0.376 0.872 0.376
Cu: 0.872 0.376 0.376
Au: 0.750 0.750 0.750


(6)
K2InAgI6: calculated powder XRD pattern (Cu Kα), based on a cell relaxed with GGA-PBE.

Main lines, in order of falling intensity (5 to 70 degrees two-theta):
d = 2.980 Å, I 100
d = 5.960 Å, I 74
d = 2.107 Å, I 73
d = 3.441 Å, I 63
d = 2.665 Å, I 41
d = 1.797 Å, I 29
d = 1.721 Å, I 25
d = 1.987 Å, I 22
d = 1.446 Å, I 12
d = 1.490 Å, I 12

Structural model:
Unit cell a=8.429 b=8.429 c=8.429 alpha=60.00 beta=60.00 gamma=60.00
Atoms (fractional coordinates):
K: 0.250 0.250 0.250
K: 0.750 0.750 0.750
In: 0.000 0.000 0.000
Ag: 0.500 0.500 0.500
I: 0.249 0.249 0.751
I: 0.249 0.751 0.249
I: 0.249 0.751 0.751
I: 0.751 0.249 0.249
I: 0.751 0.249 0.751
I: 0.751 0.751 0.249


(7)
Ca3Ga3N5: calculated powder XRD pattern (Cu Kα), based on a cell relaxed with GGA-PBE.

Main lines, in order of falling intensity (5 to 70 degrees two-theta):
d = 2.666 Å, I 100
d = 2.743 Å, I 52
d = 2.077 Å, I 35
d = 2.761 Å, I 26
d = 2.235 Å, I 25
d = 4.281 Å, I 20
d = 6.452 Å, I 17
d = 5.598 Å, I 17
d = 2.951 Å, I 15
d = 1.792 Å, I 12

Structural model:
Unit cell a=5.910 b=6.883 c=8.476 alpha=107.48 beta=105.46 gamma=95.17
Atoms (fractional coordinates):
Ca: 0.155 0.137 0.197
Ca: 0.159 0.365 0.878
Ca: 0.318 0.912 0.607
Ca: 0.682 0.088 0.393
Ca: 0.841 0.635 0.122
Ca: 0.845 0.863 0.803
Ga: 0.212 0.444 0.563
Ga: 0.365 0.633 0.284
Ga: 0.406 0.811 0.969
Ga: 0.594 0.189 0.031
Ga: 0.635 0.367 0.716
Ga: 0.788 0.556 0.437
N: 0.104 0.568 0.382
N: 0.215 0.729 0.097
N: 0.256 0.030 0.890
N: 0.350 0.195 0.509
N: 0.470 0.605 0.779
N: 0.530 0.395 0.221
N: 0.650 0.805 0.491
N: 0.744 0.970 0.110
N: 0.785 0.271 0.903
N: 0.896 0.432 0.618